# Ag9Sn2
Theoretical powder diffractogram, Cu Kα X-rays. Input: a crystal structure in OQMD, relaxed with PBE.
Lines closer than 0.1° are merged.

Structural model:
```
data_Ag9Sn2
_chemical_formula_sum 'Ag9 Sn2'
_space_group_name_H-M_alt 'P -3 m 1'
_space_group_IT_number 164
_space_group_name_Hall '-P 3 2"'
_cell_length_a 3.0163
_cell_length_b 3.0163
_cell_length_c 30.9082
_cell_angle_alpha 90.00
_cell_angle_beta 90.00
_cell_angle_gamma 120.00
loop_
_atom_site_label
_atom_site_type_symbol
_atom_site_fract_x
_atom_site_fract_y
_atom_site_fract_z
_atom_site_occupancy
Ag1 Ag 0.0000 0.0000 0.0000 1
Ag2 Ag 0.0000 0.0000 0.2246 1
Ag3 Ag 0.3333 0.6667 0.1495 1
Ag4 Ag 0.3333 0.6667 0.7000 1
Ag5 Ag 0.3333 0.6667 0.9253 1
Sn1 Sn 0.3333 0.6667 0.3812 1
```

Largest 10 diffraction maxima, by intensity, 5° ≤ 2θ ≤ 70°:
d/Å  2θ (°)  Rel. int.  index
2.475  36.3  100  1 0 4
15.454  5.7  86  0 0 2
2.079  43.5  82  0 1 9
2.406  37.4  60  1 0 5
2.378  37.8  38  0 0 13
1.508  61.5  33  1 1 0
10.303  8.6  25  0 0 3
1.435  65.0  19  1 0 18
2.164  41.7  13  0 1 8
1.492  62.2  10  1 0 17

# Ag17Sn
Theoretical powder diffractogram, Cu Kα X-rays. Input: a crystal structure in OQMD, relaxed with PBE.
Lines closer than 0.1° are merged.

Structural model:
```
data_Ag17Sn
_chemical_formula_sum 'Ag34 Sn2'
_space_group_name_H-M_alt 'P 1 21/m 1'
_space_group_IT_number 11
_space_group_name_Hall '-P 2yb'
_cell_length_a 5.0090
_cell_length_b 5.7964
_cell_length_c 31.8191
_cell_angle_alpha 90.00
_cell_angle_beta 90.06
_cell_angle_gamma 90.00
loop_
_atom_site_label
_atom_site_type_symbol
_atom_site_fract_x
_atom_site_fract_y
_atom_site_fract_z
_atom_site_occupancy
Ag1 Ag 0.0000 0.0000 0.0000 1
Ag2 Ag 0.0007 0.0016 0.2267 1
Ag3 Ag 0.1663 0.2500 0.8491 1
Ag4 Ag 0.1658 0.7500 0.3034 1
Ag5 Ag 0.1664 0.7500 0.8493 1
Ag6 Ag 0.1669 0.2500 0.0754 1
Ag7 Ag 0.1679 0.7500 0.0755 1
Ag8 Ag 0.3331 0.0007 0.9245 1
Ag9 Ag 0.3333 0.5013 0.1509 1
Ag10 Ag 0.3343 0.0004 0.6965 1
Ag11 Ag 0.4987 0.7500 0.9997 1
Ag12 Ag 0.5005 0.2500 0.2260 1
Ag13 Ag 0.5002 0.2500 0.7735 1
Sn1 Sn 0.1652 0.2500 0.3099 1
```

Largest 10 diffraction maxima, by intensity, 5° ≤ 2θ ≤ 70°:
d/Å  2θ (°)  Rel. int.  index
15.910  5.6  100  0 0 2
2.391  37.6  65  2 0 -4
2.333  38.6  44  1 2 5
2.046  44.3  31  1 2 -9
2.448  36.7  27  0 0 13
2.121  42.6  21  1 2 -8
2.043  44.3  16  2 0 9
1.445  64.5  15  1 2 18
1.447  64.4  12  3 2 0
1.500  61.9  11  2 0 -17

# Ag2Sn5
Theoretical powder diffractogram, Cu Kα X-rays. Input: a crystal structure in OQMD, relaxed with PBE.
Lines closer than 0.1° are merged.

Structural model:
```
data_Ag2Sn5
_chemical_formula_sum 'Ag6 Sn15'
_space_group_name_H-M_alt 'R 3 m'
_space_group_IT_number 160
_space_group_name_Hall 'R 3 -2"'
_cell_length_a 5.1206
_cell_length_b 5.1206
_cell_length_c 24.7705
_cell_angle_alpha 90.00
_cell_angle_beta 90.00
_cell_angle_gamma 120.00
loop_
_atom_site_label
_atom_site_type_symbol
_atom_site_fract_x
_atom_site_fract_y
_atom_site_fract_z
_atom_site_occupancy
Ag1 Ag 0.0000 0.0000 0.0000 1
Ag2 Ag 0.0000 0.0000 0.4904 1
Sn1 Sn 0.0000 0.0000 0.2364 1
Sn2 Sn 0.0000 0.0000 0.3700 1
Sn3 Sn 0.0000 0.0000 0.6213 1
Sn4 Sn 0.0000 0.0000 0.7482 1
Sn5 Sn 0.0000 0.0000 0.8687 1
```

Largest 10 diffraction maxima, by intensity, 5° ≤ 2θ ≤ 70°:
d/Å  2θ (°)  Rel. int.  index
2.560  35.0  100  1 1 0
2.539  35.4  93  0 1 8
1.474  63.1  35  1 2 8
1.803  50.6  34  2 0 8
1.478  62.9  19  3 0 0
1.462  63.7  15  1 0 16
3.304  27.0  9  0 1 5
2.766  32.4  7  1 0 7
4.365  20.3  7  1 0 1
4.175  21.3  7  0 1 2

# Ag2Sn9
Theoretical powder diffractogram, Cu Kα X-rays. Input: a crystal structure in OQMD, relaxed with PBE.
Lines closer than 0.1° are merged.

Structural model:
```
data_Ag2Sn9
_chemical_formula_sum 'Ag8 Sn36'
_space_group_name_H-M_alt 'I -4 3 m'
_space_group_IT_number 217
_space_group_name_Hall 'I -4 2 3'
_cell_length_a 10.5992
_cell_length_b 10.5992
_cell_length_c 10.5992
_cell_angle_alpha 90.00
_cell_angle_beta 90.00
_cell_angle_gamma 90.00
loop_
_atom_site_label
_atom_site_type_symbol
_atom_site_fract_x
_atom_site_fract_y
_atom_site_fract_z
_atom_site_occupancy
Ag1 Ag 0.2134 0.2134 0.7866 1
Sn1 Sn 0.0000 0.0000 0.2179 1
Sn2 Sn 0.0111 0.3492 0.3492 1
```

Largest 10 diffraction maxima, by intensity, 5° ≤ 2θ ≤ 70°:
d/Å  2θ (°)  Rel. int.  index
2.498  35.9  100  3 3 0
2.833  31.6  45  3 2 1
1.346  69.9  24  7 3 2
3.060  29.2  20  2 2 2
1.767  51.7  16  6 0 0
4.327  20.5  15  2 1 1
1.635  56.2  13  5 4 1
2.079  43.5  12  4 3 1
2.260  39.9  10  3 3 2
1.499  61.9  9  5 5 0

# Ag17Sn
Theoretical powder diffractogram, Cu Kα X-rays. Input: a crystal structure in OQMD, relaxed with PBE.
Lines closer than 0.1° are merged.

Structural model:
```
data_Ag17Sn
_chemical_formula_sum 'Ag34 Sn2'
_space_group_name_H-M_alt 'P -3 m 1'
_space_group_IT_number 164
_space_group_name_Hall '-P 3 2"'
_cell_length_a 5.7989
_cell_length_b 5.7989
_cell_length_c 32.8325
_cell_angle_alpha 90.00
_cell_angle_beta 90.00
_cell_angle_gamma 120.00
loop_
_atom_site_label
_atom_site_type_symbol
_atom_site_fract_x
_atom_site_fract_y
_atom_site_fract_z
_atom_site_occupancy
Ag1 Ag 0.0000 0.0000 0.0000 1
Ag2 Ag 0.0000 0.0000 0.2204 1
Ag3 Ag 0.0000 0.5000 0.0000 1
Ag4 Ag 0.0008 0.5004 0.2203 1
Ag5 Ag 0.1663 0.3326 0.1470 1
Ag6 Ag 0.1666 0.3332 0.9266 1
Ag7 Ag 0.1670 0.3341 0.7052 1
Ag8 Ag 0.3333 0.6667 0.0738 1
Ag9 Ag 0.3333 0.6667 0.8529 1
Sn1 Sn 0.3333 0.6667 0.3018 1
```

Largest 10 diffraction maxima, by intensity, 5° ≤ 2θ ≤ 70°:
d/Å  2θ (°)  Rel. int.  index
16.416  5.4  100  0 0 2
2.345  38.4  74  0 0 14
2.401  37.5  56  2 0 4
2.068  43.8  52  0 2 9
1.449  64.3  21  2 2 0
2.526  35.5  20  0 0 13
1.476  63.0  16  2 0 18
1.995  45.5  10  0 2 10
2.142  42.2  9  0 2 8
8.208  10.8  7  0 0 4

# Ag10Sn
Theoretical powder diffractogram, Cu Kα X-rays. Input: a crystal structure in OQMD, relaxed with PBE.
Lines closer than 0.1° are merged.

Structural model:
```
data_Ag10Sn
_chemical_formula_sum 'Ag40 Sn4'
_space_group_name_H-M_alt 'C 1 2/m 1'
_space_group_IT_number 12
_space_group_name_Hall '-C 2y'
_cell_length_a 9.0822
_cell_length_b 4.0381
_cell_length_c 32.5514
_cell_angle_alpha 90.00
_cell_angle_beta 90.26
_cell_angle_gamma 90.00
loop_
_atom_site_label
_atom_site_type_symbol
_atom_site_fract_x
_atom_site_fract_y
_atom_site_fract_z
_atom_site_occupancy
Ag1 Ag 0.0480 0.0000 0.1908 1
Ag2 Ag 0.0500 0.0000 0.8976 1
Ag3 Ag 0.0506 0.5000 0.0438 1
Ag4 Ag 0.0516 0.5000 0.7497 1
Ag5 Ag 0.1441 0.0000 0.2809 1
Ag6 Ag 0.1500 0.0000 0.9852 1
Ag7 Ag 0.1501 0.5000 0.1322 1
Ag8 Ag 0.1501 0.5000 0.8391 1
Ag9 Ag 0.2489 0.5000 0.2195 1
Ag10 Ag 0.2500 0.0000 0.0733 1
Sn1 Sn 0.1570 0.0000 0.6901 1
```

Largest 10 diffraction maxima, by intensity, 5° ≤ 2θ ≤ 70°:
d/Å  2θ (°)  Rel. int.  index
16.276  5.4  100  0 0 2
2.439  36.9  63  1 1 10
2.366  38.0  51  3 1 -3
2.324  38.7  32  3 1 -4
2.018  44.9  26  0 2 0
2.306  39.1  22  1 1 11
2.037  44.5  19  4 0 7
2.073  43.7  16  2 0 -14
2.197  41.1  15  2 0 -13
1.434  65.0  11  4 2 7

# Y4Ag2Sn
Theoretical powder diffractogram, Cu Kα X-rays. Input: a crystal structure in OQMD, relaxed with PBE.
Lines closer than 0.1° are merged.

Structural model:
```
data_Y4Ag2Sn
_chemical_formula_sum 'Y8 Ag4 Sn2'
_space_group_name_H-M_alt 'C m m m'
_space_group_IT_number 65
_space_group_name_Hall '-C 2 2'
_cell_length_a 8.5938
_cell_length_b 11.7826
_cell_length_c 3.9886
_cell_angle_alpha 90.00
_cell_angle_beta 90.00
_cell_angle_gamma 90.00
loop_
_atom_site_label
_atom_site_type_symbol
_atom_site_fract_x
_atom_site_fract_y
_atom_site_fract_z
_atom_site_occupancy
Y1 Y 0.0000 0.2268 0.0000 1
Y2 Y 0.2139 0.0000 0.5000 1
Ag1 Ag 0.2500 0.2500 0.5000 1
Sn1 Sn 0.0000 0.5000 0.0000 1
```

Largest 10 diffraction maxima, by intensity, 5° ≤ 2θ ≤ 70°:
d/Å  2θ (°)  Rel. int.  index
2.923  30.6  100  2 0 1
2.075  43.6  68  2 4 1
2.946  30.3  49  0 4 0
1.651  55.7  19  0 4 2
2.661  33.7  18  1 3 1
2.148  42.1  18  4 0 0
1.994  45.5  17  0 0 2
1.736  52.7  16  4 4 0
3.459  25.8  12  1 1 1
2.314  38.9  11  3 3 0

# Zr3Ag4Sn4
Theoretical powder diffractogram, Cu Kα X-rays. Input: a crystal structure in OQMD, relaxed with PBE.
Lines closer than 0.1° are merged.

Structural model:
```
data_Zr3Ag4Sn4
_chemical_formula_sum 'Zr6 Ag8 Sn8'
_space_group_name_H-M_alt 'I -4 2 m'
_space_group_IT_number 121
_space_group_name_Hall 'I -4 2'
_cell_length_a 6.4244
_cell_length_b 6.4244
_cell_length_c 12.9385
_cell_angle_alpha 90.00
_cell_angle_beta 90.00
_cell_angle_gamma 90.00
loop_
_atom_site_label
_atom_site_type_symbol
_atom_site_fract_x
_atom_site_fract_y
_atom_site_fract_z
_atom_site_occupancy
Zr1 Zr 0.0000 0.0000 0.0000 1
Zr2 Zr 0.0000 0.5000 0.2500 1
Ag1 Ag 0.2363 0.2363 0.6197 1
Sn1 Sn 0.0000 0.0000 0.2453 1
Sn2 Sn 0.0000 0.5000 0.0000 1
```

Largest 10 diffraction maxima, by intensity, 5° ≤ 2θ ≤ 70°:
d/Å  2θ (°)  Rel. int.  index
2.279  39.5  100  2 0 4
3.718  23.9  62  1 1 2
2.271  39.7  49  2 2 0
1.938  46.9  19  3 1 2
1.606  57.4  16  4 0 0
1.948  46.6  10  1 1 6
3.212  27.8  9  2 0 0
1.617  56.9  8  0 0 8
1.479  62.8  8  3 1 6
2.805  31.9  5  2 1 1

# Sr3Ag11
Theoretical powder diffractogram, Cu Kα X-rays. Input: a crystal structure in OQMD, relaxed with PBE.
Lines closer than 0.1° are merged.

Structural model:
```
data_Sr3Ag11
_chemical_formula_sum 'Sr6 Ag22'
_space_group_name_H-M_alt 'I m m m'
_space_group_IT_number 71
_space_group_name_Hall '-I 2 2'
_cell_length_a 4.6352
_cell_length_b 10.0357
_cell_length_c 13.6172
_cell_angle_alpha 90.00
_cell_angle_beta 90.00
_cell_angle_gamma 90.00
loop_
_atom_site_label
_atom_site_type_symbol
_atom_site_fract_x
_atom_site_fract_y
_atom_site_fract_z
_atom_site_occupancy
Sr1 Sr 0.0000 0.0000 0.0000 1
Sr2 Sr 0.0000 0.0000 0.3064 1
Ag1 Ag 0.0000 0.1986 0.5000 1
Ag2 Ag 0.0000 0.2784 0.1245 1
Ag3 Ag 0.0000 0.3607 0.3283 1
Ag4 Ag 0.0000 0.5000 0.0000 1
```

Largest 10 diffraction maxima, by intensity, 5° ≤ 2θ ≤ 70°:
d/Å  2θ (°)  Rel. int.  index
2.724  32.9  100  1 2 3
2.318  38.9  63  2 0 0
2.520  35.6  45  1 3 2
2.348  38.3  38  1 0 5
2.713  33.0  30  1 3 0
2.121  42.6  27  1 3 4
2.127  42.5  27  1 2 5
2.693  33.3  26  0 3 3
1.621  56.8  25  2 0 6
2.178  41.5  25  1 4 1

# Sr2Ag7
Theoretical powder diffractogram, Cu Kα X-rays. Input: a crystal structure in OQMD, relaxed with PBE.
Lines closer than 0.1° are merged.

Structural model:
```
data_Sr2Ag7
_chemical_formula_sum 'Sr2 Ag7'
_space_group_name_H-M_alt 'P -3 m 1'
_space_group_IT_number 164
_space_group_name_Hall '-P 3 2"'
_cell_length_a 6.1663
_cell_length_b 6.1663
_cell_length_c 6.2926
_cell_angle_alpha 90.00
_cell_angle_beta 90.00
_cell_angle_gamma 120.00
loop_
_atom_site_label
_atom_site_type_symbol
_atom_site_fract_x
_atom_site_fract_y
_atom_site_fract_z
_atom_site_occupancy
Sr1 Sr 0.3333 0.6667 0.3429 1
Ag1 Ag 0.0000 0.0000 0.5000 1
Ag2 Ag 0.1779 0.3559 0.8328 1
```

Largest 10 diffraction maxima, by intensity, 5° ≤ 2θ ≤ 70°:
d/Å  2θ (°)  Rel. int.  index
2.458  36.6  100  0 2 1
2.711  33.0  38  1 0 2
2.769  32.3  32  1 1 1
2.036  44.5  28  2 0 2
1.542  60.0  21  2 2 0
1.454  64.0  14  2 1 3
2.670  33.6  14  2 0 0
1.713  53.5  10  3 0 1
1.699  54.0  9  2 1 2
2.098  43.1  9  0 0 3

# SrZn2Ag
Theoretical powder diffractogram, Cu Kα X-rays. Input: a crystal structure in OQMD, relaxed with PBE.
Lines closer than 0.1° are merged.

Structural model:
```
data_SrZn2Ag
_chemical_formula_sum 'Sr2 Zn4 Ag2'
_space_group_name_H-M_alt 'P m n 21'
_space_group_IT_number 31
_space_group_name_Hall 'P 2ac -2'
_cell_length_a 4.5624
_cell_length_b 6.1643
_cell_length_c 6.5506
_cell_angle_alpha 90.00
_cell_angle_beta 90.00
_cell_angle_gamma 90.00
loop_
_atom_site_label
_atom_site_type_symbol
_atom_site_fract_x
_atom_site_fract_y
_atom_site_fract_z
_atom_site_occupancy
Sr1 Sr 0.0000 0.1131 0.0000 1
Zn1 Zn 0.0000 0.2956 0.5006 1
Zn2 Zn 0.0000 0.6218 0.2151 1
Ag1 Ag 0.0000 0.6180 0.7857 1
```

Largest 10 diffraction maxima, by intensity, 5° ≤ 2θ ≤ 70°:
d/Å  2θ (°)  Rel. int.  index
2.443  36.8  100  1 1 2
2.554  35.1  53  1 2 0
2.281  39.5  42  2 0 0
2.892  30.9  40  0 1 2
2.789  32.1  37  0 2 1
6.164  14.4  34  0 1 0
1.876  48.5  28  1 1 3
1.791  51.0  19  2 1 2
1.766  51.8  19  2 2 1
3.200  27.9  15  1 1 1

# TbTmAg2Te4
Theoretical powder diffractogram, Cu Kα X-rays. Input: a crystal structure in OQMD, relaxed with PBE.
Lines closer than 0.1° are merged.

Structural model:
```
data_TbTmAg2Te4
_chemical_formula_sum 'Tb2 Tm2 Ag4 Te8'
_space_group_name_H-M_alt 'C m m 2'
_space_group_IT_number 35
_space_group_name_Hall 'C 2 -2'
_cell_length_a 10.0296
_cell_length_b 10.0557
_cell_length_c 4.7052
_cell_angle_alpha 90.00
_cell_angle_beta 90.00
_cell_angle_gamma 90.00
loop_
_atom_site_label
_atom_site_type_symbol
_atom_site_fract_x
_atom_site_fract_y
_atom_site_fract_z
_atom_site_occupancy
Tb1 Tb 0.0000 0.0000 0.0000 1
Tm1 Tm 0.0000 0.5000 0.3912 1
Ag1 Ag 0.2500 0.2500 0.1948 1
Te1 Te 0.0000 0.2038 0.4852 1
Te2 Te 0.1989 0.5000 0.9067 1
```

Largest 10 diffraction maxima, by intensity, 5° ≤ 2θ ≤ 70°:
d/Å  2θ (°)  Rel. int.  index
3.433  26.0  100  2 0 1
2.632  34.1  87  3 1 1
2.511  35.8  81  0 4 0
2.115  42.8  59  3 3 1
2.834  31.6  55  2 2 1
2.130  42.4  40  0 2 2
3.176  28.1  29  1 3 0
2.027  44.7  19  2 4 1
1.775  51.5  19  4 4 0
3.922  22.7  17  1 1 1